This entry pairs a crystal structure of HgTeWO6 with its calculated powder diffraction line list. Radiation: Cu Kα X-rays. Structure: a cell relaxed with GGA+U.
Intensities are scaled so that the largest is 100.

Largest 6 diffraction maxima, by angle, 2θ from 10° to 90°:
two_theta, I (rel.)
24.3, 37
28.4, 99
28.6, 100
29.7, 34
30.0, 27
49.7, 46

Structure:
```
18
Lattice="-3.6393 3.6991 5.1854 3.6393 -3.6991 5.1854 3.6393 3.6991 -5.1854" Properties=species:S:1:pos:R:3 pbc="T T T"
Hg 0.0000 1.8496 1.3689
Hg 3.6393 1.8496 3.8165
Te 1.8197 1.8496 -2.5927
Te 1.8197 -1.8496 2.5927
W 3.6393 0.0000 0.0000
W 0.0000 0.0000 5.1854
O 2.2631 -0.4589 1.2955
O 5.0156 -0.4589 1.2955
O 3.6393 -1.8496 3.3538
O 3.6393 1.8496 0.5930
O 2.2631 3.2403 -1.2955
O 1.3762 -0.4589 3.8898
O 2.2631 4.1580 1.2955
O 1.3762 0.4589 6.4809
O 0.0000 1.8496 4.5923
O 0.0000 5.5487 1.8316
O -1.3762 4.1580 3.8898
O 1.3762 4.1580 3.8898
```